# 1
Diffraction record for ZnGa3N3O. The powder diffraction line list is simulated, not measured: it uses the PBE geometry in the Materials Project and Cu Kα.
No peak broadening, texture or thermal motion is included.

```
ZnGa3N3O
1.0
6.4928 0.0000 0.0000
-3.2422 5.6259 0.0000
-0.0023 -0.0041 10.5416
Zn Ga N O
4 12 12 4
direct
0.0000 0.0000 0.0000 Zn
0.0111 0.5217 0.0004 Zn
0.1718 0.3438 0.7549 Zn
0.6717 0.3440 0.7523 Zn
0.0032 0.0089 0.5205 Ga
0.0046 0.5116 0.5221 Ga
0.1725 0.8435 0.7622 Ga
0.1820 0.3488 0.2726 Ga
0.1822 0.8496 0.2714 Ga
0.4972 0.9994 0.0111 Ga
0.5054 0.0101 0.5204 Ga
0.5065 0.5124 0.5224 Ga
0.5078 0.5197 0.0129 Ga
0.6612 0.3381 0.2708 Ga
0.6621 0.8397 0.2706 Ga
0.6695 0.8415 0.7607 Ga
0.0000 0.0016 0.7030 N
0.0100 0.5203 0.7030 N
0.1710 0.3434 0.4535 N
0.1713 0.8442 0.4521 N
0.1829 0.8523 0.9504 N
0.5013 0.0025 0.7022 N
0.5063 0.0110 0.2020 N
0.5066 0.5116 0.2024 N
0.5091 0.5193 0.7028 N
0.6627 0.8407 0.9520 N
0.6715 0.3436 0.4531 N
0.6719 0.8444 0.4523 N
0.0055 0.0115 0.2142 O
0.0049 0.5099 0.2129 O
0.1835 0.3482 0.9669 O
0.6593 0.3377 0.9681 O
```

Most intense lines, 2θ from 10° to 80°, in order of falling intensity:
| two_theta | d/Å | I (rel.) |
| --- | --- | --- |
| 36.20 | 2.481 | 100 |
| 31.82 | 2.812 | 46 |
| 34.02 | 2.635 | 37 |
| 56.69 | 1.624 | 32 |
| 62.31 | 1.490 | 29 |
| 67.79 | 1.382 | 27 |
| 47.27 | 1.923 | 21 |
| 69.14 | 1.359 | 15 |
| 66.50 | 1.406 | 5 |
| 76.84 | 1.241 | 5 |


# 2
Diffraction record for Ga3Pb3N5. The powder diffraction line list is simulated, not measured: it uses the PBE geometry in the Materials Project and Cu Kα.
No peak broadening, texture or thermal motion is included.

```
Ga3Pb3N5
1.0
6.0497 0.0000 0.0000
-0.8304 7.4701 0.0000
-1.3919 -2.0010 8.4162
Ga Pb N
6 6 10
direct
0.0976 0.1903 0.0342 Ga
0.1275 0.4098 0.7313 Ga
0.2983 0.5006 0.3968 Ga
0.7017 0.4994 0.6032 Ga
0.8725 0.5902 0.2687 Ga
0.9024 0.8097 0.9658 Ga
0.2433 0.0177 0.3635 Pb
0.2525 0.8082 0.6919 Pb
0.3658 0.6536 0.1073 Pb
0.6342 0.3464 0.8927 Pb
0.7475 0.1918 0.3081 Pb
0.7567 0.9823 0.6365 Pb
0.0425 0.3610 0.2325 N
0.1435 0.7317 0.4115 N
0.1835 0.9642 0.0986 N
0.2581 0.3485 0.9249 N
0.3763 0.5084 0.6288 N
0.6237 0.4916 0.3712 N
0.7419 0.6515 0.0751 N
0.8165 0.0358 0.9014 N
0.8565 0.2683 0.5885 N
0.9575 0.6390 0.7675 N
```

Most intense lines, 2θ from 10° to 80°, in order of falling intensity:
| two_theta | d/Å | I (rel.) |
| --- | --- | --- |
| 32.20 | 2.780 | 100 |
| 31.83 | 2.811 | 98 |
| 28.93 | 3.086 | 76 |
| 27.80 | 3.210 | 74 |
| 37.87 | 2.376 | 62 |
| 32.67 | 2.741 | 56 |
| 20.75 | 4.281 | 54 |
| 30.26 | 2.953 | 46 |
| 29.93 | 2.985 | 45 |
| 21.82 | 4.073 | 41 |